Diffraction record for Sc3Si3Pt. The X-ray diffraction stick pattern is simulated, not measured: it uses a DFT-relaxed cell (PBE, the Materials Project) and Cu Ka.
Kinematic intensities with the Lorentz-polarization factor, no thermal factor.

Main lines, in order of rising 2θ (10 to 80 degrees two-theta):
2theta  Rel. int.  index
11.5  30  1 0 1
15.1  25  2 0 0
18.9  54  1 0 2
24.8  35  1 1 1
26.7  27  2 1 0
35.2  32  1 1 3
36.4  100  3 1 2
37.7  23  2 1 3
40.5  23  4 0 3
44.6  55  0 2 0

Structural model:
```
data_Sc3Si3Pt
_chemical_formula_sum 'Sc12 Si12 Pt4'
_space_group_name_H-M_alt 'P n m a'
_space_group_IT_number 62
_cell_length_a 11.725
_cell_length_b 4.057
_cell_length_c 10.256
_cell_angle_alpha 90.00
_cell_angle_beta 90.00
_cell_angle_gamma 90.00
loop_
_space_group_symop_operation_xyz
'x,y,z'
'-x,-y,-z'
'-x+1/2,-y,z+1/2'
'x+1/2,y,-z+1/2'
'x+1/2,-y+1/2,-z+1/2'
'-x+1/2,y+1/2,z+1/2'
'-x,y+1/2,-z'
'x,-y+1/2,z'
loop_
_atom_site_label
_atom_site_fract_x
_atom_site_fract_y
_atom_site_fract_z
Sc1 0.021 0.250 0.124
Sc2 0.099 0.250 0.420
Sc3 0.199 0.750 0.659
Si1 0.043 0.250 0.688
Si2 0.156 0.750 0.247
Si3 0.176 0.750 0.017
Pt1 0.178 0.250 0.887
```

=====

Diffraction record for InPd. The X-ray diffraction stick pattern is simulated, not measured: it uses a DFT-relaxed cell (PBE, the Materials Project) and Cu Ka.
Kinematic intensities with the Lorentz-polarization factor, no thermal factor.

Main lines, in order of rising 2θ (10 to 80 degrees two-theta):
2theta  Rel. int.  index
38.5  100  1 1 0
55.5  17  2 0 0
69.6  33  2 1 1

Structural model:
```
data_InPd
_chemical_formula_sum 'In1 Pd1'
_space_group_name_H-M_alt 'P m -3 m'
_space_group_IT_number 221
_space_group_name_Hall '-P 4 2 3'
_cell_length_a 3.310
_cell_length_b 3.310
_cell_length_c 3.310
_cell_angle_alpha 90.00
_cell_angle_beta 90.00
_cell_angle_gamma 90.00
loop_
_atom_site_label
_atom_site_fract_x
_atom_site_fract_y
_atom_site_fract_z
In1 0.000 0.000 0.000
Pd1 0.500 0.500 0.500
```

=====

Diffraction record for Sr7CaTi8O24. The X-ray diffraction stick pattern is simulated, not measured: it uses a DFT-relaxed cell (PBE, the Materials Project) and Cu Ka.
Kinematic intensities with the Lorentz-polarization factor, no thermal factor.

Main lines, in order of rising 2θ (10 to 80 degrees two-theta):
2theta  Rel. int.  index
15.9  1  1 1 0
22.6  2  2 0 0
32.1  100  2 2 0
39.6  20  2 2 2
46.1  43  4 0 0
51.9  2  4 2 0
57.3  37  4 2 2
67.3  24  4 4 0
71.9  1  6 0 0
76.5  16  6 2 0

Structural model:
```
data_Sr7CaTi8O24
_chemical_formula_sum 'Sr7 Ca1 Ti8 O24'
_space_group_name_H-M_alt 'P m -3 m'
_space_group_IT_number 221
_space_group_name_Hall '-P 4 2 3'
_cell_length_a 7.875
_cell_length_b 7.875
_cell_length_c 7.875
_cell_angle_alpha 90.00
_cell_angle_beta 90.00
_cell_angle_gamma 90.00
loop_
_atom_site_label
_atom_site_fract_x
_atom_site_fract_y
_atom_site_fract_z
Sr1 0.000 0.000 0.000
Sr2 0.000 0.000 0.500
Sr3 0.000 0.500 0.500
Ca1 0.500 0.500 0.500
Ti1 0.251 0.251 0.251
O1 0.000 0.250 0.250
O2 0.252 0.252 0.500
```

=====

Diffraction record for NbCrGe. The X-ray diffraction stick pattern is simulated, not measured: it uses a DFT-relaxed cell (PBE, the Materials Project) and Cu Ka.
Kinematic intensities with the Lorentz-polarization factor, no thermal factor.

Main lines, in order of rising 2θ (10 to 80 degrees two-theta):
2theta  Rel. int.  index
37.6  75  1 1 1
40.7  100  2 0 1
46.5  33  3 0 0
49.2  19  2 1 1
54.3  16  0 0 2
56.6  10  3 1 0
63.5  12  3 1 1
70.1  11  2 1 2
74.2  15  3 0 2
76.2  22  3 2 1

Structural model:
```
data_NbCrGe
_chemical_formula_sum 'Nb3 Cr3 Ge3'
_space_group_name_H-M_alt 'P -6 2 m'
_space_group_IT_number 189
_space_group_name_Hall 'P -6 -2'
_cell_length_a 6.7698
_cell_length_b 6.7698
_cell_length_c 3.3773
_cell_angle_alpha 90.00
_cell_angle_beta 90.00
_cell_angle_gamma 120.00
loop_
_atom_site_label
_atom_site_fract_x
_atom_site_fract_y
_atom_site_fract_z
Nb1 0.0000 0.5958 0.0000
Cr1 0.0000 0.2563 0.5000
Ge1 0.0000 0.0000 0.0000
Ge2 0.3333 0.6667 0.5000
```

=====

Diffraction record for BiSe. The X-ray diffraction stick pattern is simulated, not measured: it uses a DFT-relaxed cell (PBE, the Materials Project) and Cu Ka.
Kinematic intensities with the Lorentz-polarization factor, no thermal factor.

Main lines, in order of rising 2θ (10 to 80 degrees two-theta):
2theta  Rel. int.  index
19.7  36  0 0 4
23.0  22  1 1 -2
23.9  29  1 1 2
24.6  46  0 0 5
25.4  22  1 1 -3
29.7  29  0 0 6
30.3  100  0 2 0
30.7  49  0 2 1
39.4  28  0 2 5
43.4  49  2 2 -1

Structural model:
```
data_BiSe
_chemical_formula_sum 'Bi4 Se4'
_space_group_name_H-M_alt 'C 1 2/m 1'
_space_group_IT_number 12
_cell_length_a 5.917
_cell_length_b 5.899
_cell_length_c 18.110
_cell_angle_alpha 90.00
_cell_angle_beta 93.90
_cell_angle_gamma 90.00
loop_
_space_group_symop_operation_xyz
'x,y,z'
'-x,-y,-z'
'-x,y,-z'
'x,-y,z'
'x+1/2,y+1/2,z'
'-x+1/2,-y+1/2,-z'
'-x+1/2,y+1/2,-z'
'x+1/2,-y+1/2,z'
loop_
_atom_site_label
_atom_site_fract_x
_atom_site_fract_y
_atom_site_fract_z
Bi1 0.219 0.000 0.404
Se1 0.241 0.500 0.429
```

=====

Diffraction record for H3S. The X-ray diffraction stick pattern is simulated, not measured: it uses a DFT-relaxed cell (PBE, the Materials Project) and Cu Ka.
Kinematic intensities with the Lorentz-polarization factor, no thermal factor.

Main lines, in order of rising 2θ (10 to 80 degrees two-theta):
2theta  Rel. int.  index
15.3  23  0 1 1
21.9  13  0 2 0
26.6  41  2 0 0
27.5  21  1 1 2
27.7  100  1 1 -2
27.8  19  1 2 -1
28.0  44  -1 2 1
34.4  18  0 1 3
34.8  18  0 3 -1
47.6  14  3 -1 2

Structural model:
```
data_H3S
_chemical_formula_sum 'H24 S8'
_space_group_name_H-M_alt 'P 1'
_space_group_IT_number 1
_cell_length_a 6.709
_cell_length_b 8.133
_cell_length_c 8.254
_cell_angle_alpha 89.85
_cell_angle_beta 89.62
_cell_angle_gamma 89.39
loop_
_space_group_symop_operation_xyz
'x,y,z'
loop_
_atom_site_label
_atom_site_fract_x
_atom_site_fract_y
_atom_site_fract_z
H1 0.000 0.000 0.000
H2 0.004 0.418 0.005
H3 0.145 0.552 0.575
H4 0.154 0.861 0.420
H5 0.188 0.189 0.525
H6 0.222 0.724 0.032
H7 0.259 0.235 0.471
H8 0.282 0.670 0.976
H9 0.323 0.281 0.836
H10 0.328 0.132 0.149
H11 0.468 0.427 0.688
H12 0.479 0.703 0.303
H13 0.488 0.980 0.013
H14 0.504 0.042 0.684
H15 0.657 0.873 0.568
H16 0.664 0.562 0.427
H17 0.724 0.666 0.033
H18 0.734 0.178 0.464
H19 0.754 0.736 0.977
H20 0.779 0.245 0.515
H21 0.834 0.290 0.153
H22 0.839 0.128 0.845
H23 0.985 0.702 0.713
H24 0.992 0.704 0.297
S1 0.002 0.029 0.838
S2 0.011 0.369 0.162
S3 0.482 0.880 0.651
S4 0.491 0.542 0.345
S5 0.503 0.048 0.162
S6 0.504 0.354 0.833
S7 0.981 0.541 0.671
S8 0.985 0.867 0.331
```

=====

Diffraction record for K3Mg2Cl7. The X-ray diffraction stick pattern is simulated, not measured: it uses a DFT-relaxed cell (PBE, the Materials Project) and Cu Ka.
Kinematic intensities with the Lorentz-polarization factor, no thermal factor.

Main lines, in order of rising 2θ (10 to 80 degrees two-theta):
2theta  Rel. int.  index
13.7  15  0 0 4
25.1  28  1 1 0
28.7  46  1 1 4
32.7  100  1 1 6
34.7  43  0 0 10
35.8  99  2 0 0
50.7  50  2 0 10
51.5  30  2 2 0
62.4  27  3 1 6
63.6  24  2 2 10

Structural model:
```
data_K3Mg2Cl7
_chemical_formula_sum 'K6 Mg4 Cl14'
_space_group_name_H-M_alt 'I 4/m m m'
_space_group_IT_number 139
_space_group_name_Hall '-I 4 2'
_cell_length_a 5.017
_cell_length_b 5.017
_cell_length_c 25.877
_cell_angle_alpha 90.00
_cell_angle_beta 90.00
_cell_angle_gamma 90.00
loop_
_atom_site_label
_atom_site_fract_x
_atom_site_fract_y
_atom_site_fract_z
K1 0.000 0.000 0.000
K2 0.000 0.000 0.184
Mg1 0.000 0.000 0.402
Cl1 0.000 0.000 0.306
Cl2 0.000 0.000 0.500
Cl3 0.000 0.500 0.096
```

=====

Diffraction record for CePbO3. The X-ray diffraction stick pattern is simulated, not measured: it uses a DFT-relaxed cell (PBE, the Materials Project) and Cu Ka.
Kinematic intensities with the Lorentz-polarization factor, no thermal factor.

Main lines, in order of rising 2θ (10 to 80 degrees two-theta):
2theta  Rel. int.  index
26.5  100  2 2 0
28.4  90  2 0 2
30.7  58  0 2 2
33.9  34  4 0 0
41.3  13  0 4 0
46.4  71  0 0 4
50.9  28  2 4 2
54.3  29  2 2 4
54.5  13  4 4 0
56.3  13  6 2 0

Structural model:
```
data_CePbO3
_chemical_formula_sum 'Ce8 Pb8 O24'
_space_group_name_H-M_alt 'C m c m'
_space_group_IT_number 63
_space_group_name_Hall '-C 2c 2'
_cell_length_a 10.579
_cell_length_b 8.734
_cell_length_c 7.817
_cell_angle_alpha 90.00
_cell_angle_beta 90.00
_cell_angle_gamma 90.00
loop_
_atom_site_label
_atom_site_fract_x
_atom_site_fract_y
_atom_site_fract_z
Ce1 0.000 0.029 0.250
Ce2 0.000 0.451 0.250
Pb1 0.250 0.250 0.000
O1 0.000 0.143 0.564
O2 0.125 0.243 0.250
O3 0.129 0.500 0.000
```